This entry pairs a crystal structure of Ba2ErZn2CuO7 with its simulated powder X-ray diffraction pattern. Radiation: Cu Kα. Structure: a cell relaxed with PBE.
No peak broadening, texture or thermal motion is included.

Atomic structure:
```
Ba2ErZn2CuO7
1.0
3.900 0.000 0.000
0.000 3.994 0.000
0.000 0.000 11.605
Ba Er Zn Cu O
2 1 2 1 7
direct
0.000 0.000 0.181
0.000 0.000 0.819
0.000 0.000 0.500
0.500 0.500 0.343
0.500 0.500 0.657
0.500 0.500 0.000
0.000 0.500 0.380
0.000 0.500 0.620
0.500 0.000 0.000
0.500 0.000 0.380
0.500 0.000 0.620
0.500 0.500 0.162
0.500 0.500 0.838
```

The 10 most intense peaks (2θ from 10° to 90°), in order of falling intensity:
Position (°2θ)	I/Imax	hkl
32.60	1000	1 0 3
32.07	966	1 1 0
32.21	918	0 1 3
57.02	399	1 2 3
58.02	383	1 1 6
57.76	350	2 1 3
45.41	293	0 2 0
39.83	272	1 1 3
46.57	271	2 0 0
46.98	188	0 0 6

This entry pairs a crystal structure of BaErCu2Se4 with its simulated powder X-ray diffraction pattern. Radiation: Cu Kα. Structure: a cell relaxed with PBE.
No peak broadening, texture or thermal motion is included.

Atomic structure:
```
BaErCu2Se4
1.0
6.975 0.000 0.000
0.000 6.975 0.000
0.000 0.000 8.648
Ba Er Cu Se
2 2 4 8
direct
0.000 0.000 0.000
0.500 0.500 0.500
0.000 0.000 0.500
0.500 0.500 0.000
0.000 0.500 0.250
0.000 0.500 0.750
0.500 0.000 0.250
0.500 0.000 0.750
0.216 0.216 0.300
0.216 0.784 0.700
0.284 0.284 0.800
0.284 0.716 0.200
0.716 0.284 0.200
0.716 0.716 0.800
0.784 0.216 0.700
0.784 0.784 0.300
```

The 10 most intense peaks (2θ from 10° to 90°), in order of falling intensity:
Position (°2θ)	I/Imax	hkl
27.43	1000	1 1 2
46.20	542	3 1 2
36.43	542	2 2 0
33.00	446	2 0 2
17.99	191	1 1 0
56.62	163	2 2 4
52.48	158	4 0 0
83.93	130	5 3 2
45.83	127	1 1 4
30.46	113	2 1 1

This entry pairs a crystal structure of Ba2LiEuCu4O8 with its simulated powder X-ray diffraction pattern. Radiation: Cu Kα. Structure: a cell relaxed with PBE.
No peak broadening, texture or thermal motion is included.

Atomic structure:
```
Ba2LiEuCu4O8
1.0
3.938 0.000 0.000
0.000 3.849 0.000
-1.807 0.000 14.589
Ba Li Eu Cu O
2 1 1 4 8
direct
0.119 0.000 0.255
0.881 0.000 0.745
0.000 0.000 0.500
0.000 0.000 0.000
0.313 0.500 0.581
0.446 0.500 0.884
0.554 0.500 0.116
0.687 0.500 0.419
0.050 0.500 0.108
0.209 0.500 0.447
0.369 0.500 0.707
0.451 0.000 0.895
0.549 0.000 0.105
0.631 0.500 0.293
0.791 0.500 0.553
0.950 0.500 0.892
```

The 10 most intense peaks (2θ from 10° to 90°), in order of falling intensity:
Position (°2θ)	I/Imax	hkl
32.67	1000	1 1 0
33.85	819	0 1 4
31.43	432	1 0 -4
31.07	379	1 0 3
57.83	301	1 2 -4
46.11	296	2 0 -1
47.23	287	0 2 0
23.91	218	0 1 1
29.60	206	0 1 3
58.17	174	2 1 3

What did the first record say?
This entry pairs a crystal structure of Ba2ErZn2CuO7 with its simulated powder X-ray diffraction pattern. Radiation: Cu Kα. Structure: a cell relaxed with PBE.
No peak broadening, texture or thermal motion is included.

Atomic structure:
```
Ba2ErZn2CuO7
1.0
3.900 0.000 0.000
0.000 3.994 0.000
0.000 0.000 11.605
Ba Er Zn Cu O
2 1 2 1 7
direct
0.000 0.000 0.181
0.000 0.000 0.819
0.000 0.000 0.500
0.500 0.500 0.343
0.500 0.500 0.657
0.500 0.500 0.000
0.000 0.500 0.380
0.000 0.500 0.620
0.500 0.000 0.000
0.500 0.000 0.380
0.500 0.000 0.620
0.500 0.500 0.162
0.500 0.500 0.838
```

The 10 most intense peaks (2θ from 10° to 90°), in order of falling intensity:
Position (°2θ)	I/Imax	hkl
32.60	1000	1 0 3
32.07	966	1 1 0
32.21	918	0 1 3
57.02	399	1 2 3
58.02	383	1 1 6
57.76	350	2 1 3
45.41	293	0 2 0
39.83	272	1 1 3
46.57	271	2 0 0
46.98	188	0 0 6

Q: What is the formula in the third record?
A: Ba2LiEuCu4O8